Calculated X-ray powder pattern
Compound: Ca3MgFe2C6O18
Radiation: λ = 1.5418 Å (Cu Kα)
Structure: the GGA+U geometry in Alexandria
Peak positions follow from Bragg's law for the DFT cell and can differ from measured ones.

Cell and atoms:
a = 4.890 Å, b = 4.890 Å, c = 16.282 Å
α = 90.00°, β = 90.00°, γ = 120.00°
Atoms (fractional coordinates):
Ca  0.000  0.000  0.000
Ca  0.333  0.667  0.664
Ca  0.667  0.333  0.336
Mg  0.000  0.000  0.500
Fe  0.333  0.667  0.168
Fe  0.667  0.333  0.832
C  0.000  0.000  0.245
C  0.000  0.000  0.755
C  0.333  0.667  0.425
C  0.333  0.667  0.910
C  0.667  0.333  0.090
C  0.667  0.333  0.575
O  0.022  0.276  0.246
O  0.057  0.414  0.911
O  0.087  0.702  0.424
O  0.254  0.978  0.246
O  0.276  0.254  0.754
O  0.298  0.385  0.424
O  0.357  0.943  0.911
O  0.385  0.087  0.576
O  0.414  0.357  0.089
O  0.586  0.643  0.911
O  0.615  0.913  0.424
O  0.643  0.057  0.089
O  0.702  0.615  0.576
O  0.724  0.746  0.246
O  0.746  0.022  0.754
O  0.913  0.298  0.576
O  0.943  0.586  0.089
O  0.978  0.724  0.754

Largest 10 diffraction maxima, sorted by position, 2θ from 10° to 90°:
two_theta  intensity  index
23.68  16  0 1 2
30.46  100  1 0 4
36.76  16  1 1 0
40.46  20  2 -1 3
44.20  18  2 0 2
49.70  20  0 1 8
50.23  26  2 -1 6
58.79  12  3 -2 2
62.33  9  3 -1 4
66.20  9  3 0 0